Cu3As2S8: theoretical X-ray diffraction stick pattern (Cu Kα (λ = 1.5418 Å)), based on a GGA-PBE-relaxed structure.

Largest 6 diffraction maxima, sorted by position, 2θ = 15–90°:
two_theta, I/Imax, (hkl)
23.17, 100.0, 0 1 -1
29.08, 24.7, 1 2 0
31.10, 47.6, 2 1 0
31.24, 27.0, -1 1 2
31.35, 34.3, 1 0 2
39.89, 28.5, 2 -1 0

Structure:
```
data_Cu3As2S8
_cell_length_a 5.8474
_cell_length_b 6.8678
_cell_length_c 7.4501
_cell_angle_alpha 66.94
_cell_angle_beta 85.13
_cell_angle_gamma 71.39
_space_group_name_H-M_alt 'P -1'
_space_group_IT_number 2
_space_group_name_Hall '-P 1'
loop_
_atom_site_label
_atom_site_fract_x
_atom_site_fract_y
_atom_site_fract_z
Cu1 0.0000 0.0000 0.0000
Cu2 0.2729 0.5815 0.6613
As1 0.4625 0.0377 0.2232
S1 0.1657 0.2903 0.3923
S2 0.2475 0.2188 0.9229
S3 0.2566 0.7826 0.8447
S4 0.3030 0.5366 0.3657
```

***

TbGdAl2Ni4: theoretical X-ray diffraction stick pattern (Cu Kα (λ = 1.5418 Å)), based on a GGA-PBE-relaxed structure.

Largest 6 diffraction maxima, sorted by position, 2θ = 15–90°:
two_theta, I/Imax, (hkl)
24.75, 39.9, 1 0 0
26.71, 41.8, 1 0 1
39.23, 100.0, 1 0 3
43.58, 63.9, 1 1 0
60.07, 27.7, 2 0 3
77.09, 26.1, 2 1 3

Structure:
```
data_TbGdAl2Ni4
_cell_length_a 4.1534
_cell_length_b 4.1534
_cell_length_c 8.9498
_cell_angle_alpha 90.00
_cell_angle_beta 90.00
_cell_angle_gamma 120.00
_space_group_name_H-M_alt 'P -6 m 2'
_space_group_IT_number 187
_space_group_name_Hall 'P -6 2'
loop_
_atom_site_label
_atom_site_fract_x
_atom_site_fract_y
_atom_site_fract_z
Tb1 0.0000 0.0000 0.0000
Gd1 0.6667 0.3333 0.5000
Al1 0.3333 0.6667 0.2487
Ni1 0.0000 0.0000 0.3095
Ni2 0.6667 0.3333 0.1879
```

***

PmCu4Pd8: theoretical X-ray diffraction stick pattern (Cu Kα (λ = 1.5418 Å)), based on a GGA-PBE-relaxed structure.

Largest 6 diffraction maxima, sorted by position, 2θ = 15–90°:
two_theta, I/Imax, (hkl)
34.91, 46.8, 3 0 1
35.76, 26.1, 0 0 2
40.19, 49.1, 4 0 0
40.45, 100.0, 3 2 1
41.20, 44.5, 2 0 2
46.10, 41.9, 2 2 2

Structure:
```
data_PmCu4Pd8
_cell_length_a 8.9745
_cell_length_b 8.9745
_cell_length_c 5.0212
_cell_angle_alpha 90.00
_cell_angle_beta 90.00
_cell_angle_gamma 90.00
_space_group_name_H-M_alt 'I 4/m m m'
_space_group_IT_number 139
_space_group_name_Hall '-I 4 2'
loop_
_atom_site_label
_atom_site_fract_x
_atom_site_fract_y
_atom_site_fract_z
Pm1 0.0000 0.0000 0.0000
Cu1 0.2500 0.2500 0.2500
Pd1 0.0000 0.2185 0.5000
Pd2 0.0000 0.3482 0.0000
```

***

GdPPd: theoretical X-ray diffraction stick pattern (Cu Kα (λ = 1.5418 Å)), based on a GGA-PBE-relaxed structure.

Largest 6 diffraction maxima, sorted by position, 2θ = 15–90°:
two_theta, I/Imax, (hkl)
27.36, 100.0, 1 1 1
31.50, 56.1, 0 0 2
34.10, 79.4, 1 3 0
37.70, 39.7, 1 3 1
41.57, 39.5, 2 0 0
47.10, 47.6, 1 3 2

Structure:
```
data_GdPPd
_cell_length_a 4.3452
_cell_length_b 9.9061
_cell_length_c 5.6811
_cell_angle_alpha 90.00
_cell_angle_beta 90.18
_cell_angle_gamma 90.00
_space_group_name_H-M_alt 'C 1 c 1'
_space_group_IT_number 9
_space_group_name_Hall 'C -2yc'
loop_
_atom_site_label
_atom_site_fract_x
_atom_site_fract_y
_atom_site_fract_z
Gd1 0.0000 0.1497 0.0000
P1 0.0008 0.1456 0.4938
Pd1 0.9998 0.4410 0.8953
```